The following is a calculated powder diffraction line list of Er2TmGe. It was derived from a DFT-relaxed cell (GGA-PBE, Alexandria), using Cu Kα, 1.54184 Å.
No peak broadening, texture or thermal motion is included.

Largest 6 diffraction maxima, by angle, 10° ≤ 2θ ≤ 90°:
2θ/deg, d/Å, I (rel.)
26.80, 3.327, 176
31.21, 2.866, 1000
32.51, 2.754, 163
37.66, 2.388, 479
50.99, 1.791, 275
61.01, 1.519, 149

Crystal structure
a = 3.5820 Å, b = 3.5820 Å, c = 29.9423 Å
α = 90.00°, β = 90.00°, γ = 120.00°
Space group R-3m (No. 166, hexagonal axes)
Inequivalent atoms, fractional coordinates:
Er: 0.0000 0.0000 0.2357 x6
Tm: 0.0000 0.0000 0.0000 x3
Ge: 0.0000 0.0000 0.5000 x3

***

The following is a calculated powder diffraction line list of Co2Tc. It was derived from a DFT-relaxed cell (GGA-PBE, Alexandria), using Cu Kα, 1.54184 Å.
No peak broadening, texture or thermal motion is included.

Largest 6 diffraction maxima, by angle, 10° ≤ 2θ ≤ 90°:
2θ/deg, d/Å, I (rel.)
40.42, 2.232, 230
44.32, 2.044, 378
46.36, 1.959, 1000
46.52, 1.952, 466
73.76, 1.285, 152
83.04, 1.163, 166

Crystal structure
a = 4.444 Å, b = 4.088 Å, c = 7.742 Å
α = 90.00°, β = 90.00°, γ = 90.00°
Space group Pnma (No. 62)
Inequivalent atoms, fractional coordinates:
Co: 0.166 0.250 0.001 x4
Co: 0.177 0.250 0.334 x4
Tc: 0.167 0.250 0.659 x4

***

Number 1 is which compound?
Er2TmGe